[1]
Structure and theoretical powder X-ray diffraction pattern of SbW2O8 (a structure optimized by DFT (PBE+U); Cu Kα, 1.54184 Å).
Kinematic intensities with the Lorentz-polarization factor, no thermal factor.

Principal peaks in the range 2θ = 5–70°, sorted by position:
2θ/deg, Rel. int.
14.58, 82
17.57, 46
21.33, 24
24.77, 72
27.76, 100
28.30, 24
38.63, 30
45.20, 22

Atomic structure:
```
SbW2O8
1.0
5.215 0.000 0.000
-1.485 5.412 0.000
-0.309 -2.349 6.077
Sb W O
1 2 8
direct
0.000 0.000 0.000
0.251 0.472 0.810
0.749 0.528 0.190
0.086 0.753 0.168
0.157 0.746 0.756
0.314 0.290 0.557
0.372 0.307 0.034
0.628 0.693 0.966
0.686 0.710 0.443
0.843 0.254 0.244
0.914 0.247 0.832
```

---

[2]
Structure and theoretical powder X-ray diffraction pattern of Li9Co7O16 (a structure optimized by DFT (PBE+U); Cu Kα, 1.54184 Å).
Kinematic intensities with the Lorentz-polarization factor, no thermal factor.

Principal peaks in the range 2θ = 5–70°, sorted by position:
2θ/deg, Rel. int.
18.35, 100
35.60, 16
36.23, 13
36.64, 13
42.82, 30
43.89, 27
44.47, 25
47.62, 10

Atomic structure:
```
Li9Co7O16
1.0
2.942 0.000 0.000
0.209 9.846 0.000
0.139 1.884 9.809
Li Co O
9 7 16
direct
0.000 0.000 0.000
0.003 0.749 0.872
0.007 0.252 0.627
0.496 0.245 0.876
0.497 0.749 0.626
0.503 0.251 0.374
0.504 0.755 0.124
0.993 0.748 0.373
0.997 0.251 0.128
0.000 0.000 0.500
0.007 0.501 0.252
0.494 0.001 0.242
0.500 0.500 0.000
0.500 0.500 0.500
0.506 0.999 0.758
0.993 0.499 0.748
0.008 0.382 0.436
0.021 0.618 0.062
0.034 0.111 0.323
0.034 0.115 0.806
0.476 0.615 0.810
0.491 0.895 0.429
0.492 0.618 0.310
0.498 0.115 0.085
0.502 0.885 0.915
0.508 0.382 0.690
0.509 0.105 0.571
0.524 0.385 0.190
0.966 0.885 0.194
0.966 0.889 0.677
0.979 0.382 0.938
0.992 0.618 0.564
```

---

[3]
Structure and theoretical powder X-ray diffraction pattern of NaSrEuWO6 (a structure optimized by DFT (PBE+U); Cu Kα, 1.54184 Å).
Kinematic intensities with the Lorentz-polarization factor, no thermal factor.

Principal peaks in the range 2θ = 5–70°, sorted by position:
2θ/deg, Rel. int.
18.21, 8
21.06, 46
29.95, 100
42.87, 32
48.23, 20
53.18, 41
62.24, 19
66.49, 9

Atomic structure:
```
NaSrEuWO6
1.0
0.000 4.219 4.219
4.219 0.000 4.219
4.219 4.219 0.000
Na Sr Eu W O
1 1 1 1 6
direct
0.000 0.000 0.000
0.500 0.500 0.500
0.750 0.750 0.750
0.250 0.250 0.250
0.019 0.019 0.481
0.019 0.481 0.019
0.019 0.481 0.481
0.481 0.019 0.019
0.481 0.019 0.481
0.481 0.481 0.019
```

---

[4]
Structure and theoretical powder X-ray diffraction pattern of Sr2FeOsO6 (a structure optimized by DFT (PBE+U); Cu Kα, 1.54184 Å).
Kinematic intensities with the Lorentz-polarization factor, no thermal factor.

Principal peaks in the range 2θ = 5–70°, sorted by position:
2θ/deg, Rel. int.
19.30, 24
22.32, 9
31.78, 100
37.45, 14
45.55, 32
49.91, 6
56.61, 39
66.39, 19

Atomic structure:
```
Sr2FeOsO6
1.0
2.816 1.626 9.195
-2.816 1.626 9.195
0.000 -3.252 9.195
Sr Fe Os O
4 2 2 12
direct
0.124 0.124 0.124
0.374 0.374 0.374
0.626 0.626 0.626
0.876 0.876 0.876
0.249 0.249 0.249
0.751 0.751 0.751
0.000 0.000 0.000
0.500 0.500 0.500
0.123 0.123 0.628
0.123 0.628 0.123
0.130 0.623 0.623
0.372 0.877 0.877
0.377 0.377 0.870
0.377 0.870 0.377
0.623 0.130 0.623
0.623 0.623 0.130
0.628 0.123 0.123
0.870 0.377 0.377
0.877 0.372 0.877
0.877 0.877 0.372
```

---

[5]
Structure and theoretical powder X-ray diffraction pattern of LiMnO2 (a structure optimized by DFT (PBE+U); Cu Kα, 1.54184 Å).
Kinematic intensities with the Lorentz-polarization factor, no thermal factor.

Principal peaks in the range 2θ = 5–70°, sorted by position:
2θ/deg, Rel. int.
18.91, 100
24.36, 85
31.51, 46
35.00, 30
35.97, 46
43.47, 29
44.88, 48
51.19, 34

Atomic structure:
```
LiMnO2
1.0
10.086 0.000 0.000
0.000 2.873 0.000
0.000 0.000 5.302
Li Mn O
4 4 8
direct
0.106 0.250 0.102
0.394 0.750 0.602
0.606 0.250 0.398
0.894 0.750 0.898
0.132 0.750 0.607
0.368 0.250 0.107
0.632 0.750 0.893
0.868 0.250 0.393
0.020 0.250 0.746
0.238 0.250 0.454
0.262 0.750 0.954
0.480 0.750 0.246
0.520 0.250 0.754
0.738 0.250 0.046
0.762 0.750 0.546
0.980 0.750 0.254
```

---

[6]
Structure and theoretical powder X-ray diffraction pattern of LiP2WO8 (a structure optimized by DFT (PBE+U); Cu Kα, 1.54184 Å).
Kinematic intensities with the Lorentz-polarization factor, no thermal factor.

Principal peaks in the range 2θ = 5–70°, sorted by position:
2θ/deg, Rel. int.
10.78, 71
13.59, 30
15.98, 75
16.78, 100
22.46, 79
23.16, 41
24.81, 32
27.83, 35

Atomic structure:
```
LiP2WO8
1.0
5.029 0.000 0.000
0.000 13.027 0.000
-3.643 0.000 10.569
Li P W O
4 8 4 32
direct
0.090 0.119 0.471
0.090 0.381 0.971
0.910 0.619 0.029
0.910 0.881 0.529
0.306 0.085 0.118
0.306 0.415 0.618
0.419 0.746 0.711
0.419 0.754 0.211
0.581 0.246 0.789
0.581 0.254 0.289
0.694 0.585 0.382
0.694 0.915 0.882
0.097 0.074 0.790
0.097 0.426 0.290
0.903 0.574 0.710
0.903 0.926 0.210
0.084 0.064 0.629
0.084 0.436 0.129
0.119 0.093 0.980
0.119 0.407 0.480
0.135 0.057 0.205
0.135 0.443 0.705
0.244 0.678 0.121
0.244 0.822 0.621
0.269 0.656 0.751
0.269 0.844 0.251
0.334 0.206 0.830
0.334 0.294 0.330
0.421 0.200 0.152
0.421 0.300 0.652
0.448 0.513 0.365
0.448 0.987 0.865
0.552 0.013 0.135
0.552 0.487 0.635
0.579 0.700 0.348
0.579 0.800 0.848
0.666 0.706 0.670
0.666 0.794 0.170
0.731 0.156 0.749
0.731 0.344 0.249
0.756 0.178 0.379
0.756 0.322 0.879
0.865 0.557 0.295
0.865 0.943 0.795
0.881 0.593 0.520
0.881 0.907 0.020
0.916 0.564 0.871
0.916 0.936 0.371
```

---

[7]
Structure and theoretical powder X-ray diffraction pattern of K3WS3ClO (a structure optimized by DFT (PBE+U); Cu Kα, 1.54184 Å).
Kinematic intensities with the Lorentz-polarization factor, no thermal factor.

Principal peaks in the range 2θ = 5–70°, sorted by position:
2θ/deg, Rel. int.
13.76, 59
13.91, 56
14.08, 52
19.61, 62
19.73, 62
19.84, 59
24.22, 100
28.37, 58

Atomic structure:
```
K3WS3ClO
1.0
12.733 0.000 0.000
0.000 6.435 0.000
0.000 0.000 12.584
K W S Cl O
12 4 12 4 4
direct
0.020 0.085 0.000
0.204 0.461 0.503
0.235 0.897 0.261
0.265 0.897 0.761
0.296 0.461 0.003
0.480 0.085 0.500
0.520 0.915 0.000
0.704 0.539 0.503
0.735 0.103 0.261
0.765 0.103 0.761
0.796 0.539 0.003
0.980 0.915 0.500
0.006 0.497 0.751
0.494 0.497 0.251
0.506 0.503 0.751
0.994 0.503 0.251
0.005 0.157 0.270
0.049 0.587 0.088
0.173 0.399 0.771
0.327 0.399 0.271
0.451 0.587 0.588
0.495 0.157 0.770
0.505 0.843 0.270
0.549 0.413 0.088
0.673 0.601 0.771
0.827 0.601 0.271
0.951 0.413 0.588
0.995 0.843 0.770
0.232 0.975 0.513
0.268 0.975 0.013
0.732 0.025 0.513
0.768 0.025 0.013
0.075 0.632 0.348
0.425 0.632 0.848
0.575 0.368 0.348
0.925 0.368 0.848
```

---

[8]
Structure and theoretical powder X-ray diffraction pattern of BaSrCaMnO6 (a structure optimized by DFT (PBE+U); Cu Kα, 1.54184 Å).
Kinematic intensities with the Lorentz-polarization factor, no thermal factor.

Principal peaks in the range 2θ = 5–70°, sorted by position:
2θ/deg, Rel. int.
18.45, 7
21.33, 9
30.35, 100
37.40, 22
43.45, 37
48.90, 6
53.92, 38
63.14, 21

Atomic structure:
```
BaSrCaMnO6
1.0
0.000 4.165 4.165
4.165 0.000 4.165
4.165 4.165 0.000
Ba Sr Ca Mn O
1 1 1 1 6
direct
0.000 0.000 0.000
0.500 0.500 0.500
0.750 0.750 0.750
0.250 0.250 0.250
0.021 0.021 0.479
0.021 0.479 0.021
0.021 0.479 0.479
0.479 0.021 0.021
0.479 0.021 0.479
0.479 0.479 0.021
```

---

[9]
Structure and theoretical powder X-ray diffraction pattern of MgZn2W2O8 (a structure optimized by DFT (PBE+U); Cu Kα, 1.54184 Å).
Kinematic intensities with the Lorentz-polarization factor, no thermal factor.

Principal peaks in the range 2θ = 5–70°, sorted by position:
2θ/deg, Rel. int.
16.99, 39
22.38, 100
22.98, 70
27.22, 99
30.15, 70
34.35, 94
35.99, 32
47.50, 36

Atomic structure:
```
MgZn2W2O8
1.0
5.036 0.000 0.000
0.000 6.129 0.000
-0.708 0.000 5.218
Mg Zn W O
1 2 2 8
direct
0.000 0.000 0.000
0.000 0.454 0.000
0.500 0.639 0.000
0.000 0.880 0.500
0.500 0.209 0.500
0.152 0.702 0.793
0.206 0.140 0.712
0.287 0.952 0.292
0.338 0.414 0.235
0.662 0.414 0.765
0.713 0.952 0.708
0.794 0.140 0.288
0.848 0.702 0.207
```

---

[10]
Structure and theoretical powder X-ray diffraction pattern of CaW2O4 (a structure optimized by DFT (PBE+U); Cu Kα, 1.54184 Å).
Kinematic intensities with the Lorentz-polarization factor, no thermal factor.

Principal peaks in the range 2θ = 5–70°, sorted by position:
2θ/deg, Rel. int.
16.12, 100
26.59, 32
31.25, 38
31.46, 33
31.57, 97
32.97, 59
38.14, 48
55.31, 36

Atomic structure:
```
CaW2O4
1.0
3.322 1.918 5.500
-3.322 1.918 5.500
0.000 -3.836 5.500
Ca W O
2 4 8
direct
0.000 0.000 0.000
0.370 0.370 0.370
0.495 0.996 0.996
0.575 0.575 0.575
0.996 0.495 0.996
0.996 0.996 0.495
0.222 0.748 0.748
0.230 0.230 0.230
0.247 0.247 0.787
0.247 0.787 0.247
0.748 0.222 0.748
0.748 0.748 0.222
0.769 0.769 0.769
0.787 0.247 0.247
```